No. 1
The following is a theoretical X-ray diffraction stick pattern of YMg5Ag6. It was derived from a crystal structure in Alexandria, relaxed with PBE, using copper Kα.

abc: 4.796 6.869 7.528
angles: 90.00 107.98 90.00
Space group P2/m (No. 10)
Asymmetric unit:
Y  0.000  0.000  0.000
Mg  0.000  0.500  0.000
Mg  0.329  0.000  0.662
Mg  0.333  0.500  0.675
Ag  0.179  0.263  0.345
Ag  0.500  0.265  0.000

Top 10 peaks for 15 to 90 degrees two-theta, sorted by position:
2θ 25.9, intensity 33.4, hkl 0 2 0
2θ 26.2, intensity 33.3, hkl 1 0 1
2θ 26.5, intensity 33.0, hkl 1 0 -2
2θ 37.2, intensity 100.0, hkl 1 2 1
2θ 37.4, intensity 99.3, hkl 1 2 -2
2θ 37.5, intensity 50.4, hkl 2 0 -1
2θ 37.7, intensity 48.5, hkl 0 0 3
2θ 53.9, intensity 16.1, hkl 2 0 2
2θ 54.5, intensity 16.0, hkl 2 0 -4
2θ 67.4, intensity 16.0, hkl 3 2 0

---

No. 2
The following is a theoretical X-ray diffraction stick pattern of Sc4TaFe19P12. It was derived from a crystal structure in Alexandria, relaxed with PBE, using copper Kα.

abc: 10.205 3.611 11.743
angles: 90.00 90.78 90.00
Space group Pm (No. 6)
Asymmetric unit:
Sc  0.000  0.000  0.000
Sc  0.150  0.500  0.596
Sc  0.494  0.500  0.092
Sc  0.661  0.000  0.509
Ta  0.280  0.500  0.310
Fe  0.034  0.500  0.365
Fe  0.107  0.000  0.230
Fe  0.166  0.000  0.786
Fe  0.196  0.500  0.094
Fe  0.298  0.000  0.968
Fe  0.360  0.000  0.481
Fe  0.366  0.500  0.807
Fe  0.450  0.500  0.598
Fe  0.485  0.000  0.290
Fe  0.537  0.000  0.732
Fe  0.613  0.500  0.869
Fe  0.676  0.500  0.311
Fe  0.702  0.000  0.002
Fe  0.783  0.000  0.790
Fe  0.794  0.500  0.121
Fe  0.851  0.500  0.627
Fe  0.869  0.000  0.289
Fe  0.952  0.000  0.500
Fe  0.981  0.500  0.809
P  0.146  0.000  0.420
P  0.175  0.500  0.904
P  0.311  0.000  0.156
P  0.333  0.000  0.673
P  0.496  0.500  0.410
P  0.499  0.000  0.914
P  0.653  0.500  0.687
P  0.675  0.000  0.195
P  0.816  0.500  0.927
P  0.839  0.500  0.436
P  0.972  0.000  0.690
P  0.998  0.500  0.180

Top 10 peaks for 15 to 90 degrees two-theta, sorted by position:
2θ 15.1, intensity 41.9, hkl 0 0 2
2θ 18.9, intensity 25.9, hkl 2 0 -1
2θ 39.4, intensity 82.3, hkl 3 1 -2
2θ 39.6, intensity 99.1, hkl 0 1 4
2θ 39.6, intensity 100.0, hkl 3 1 2
2θ 44.1, intensity 25.0, hkl 4 1 -1
2θ 49.4, intensity 31.0, hkl 2 1 -5
2θ 49.8, intensity 30.1, hkl 2 1 5
2θ 50.1, intensity 25.2, hkl 5 0 -3
2θ 50.6, intensity 75.2, hkl 0 2 0

---

No. 3
The following is a theoretical X-ray diffraction stick pattern of PaTc2W. It was derived from a crystal structure in Alexandria, relaxed with PBE, using copper Kα.

abc: 2.9383 2.9383 28.0738
angles: 90.00 90.00 120.00
Space group R-3m (No. 166, hexagonal axes)
Asymmetric unit:
Pa  0.0000  0.0000  0.0000
Tc  0.0000  0.0000  0.2405
W  0.0000  0.0000  0.5000

Top 10 peaks for 15 to 90 degrees two-theta, sorted by position:
2θ 19.0, intensity 22.7, hkl 0 0 6
2θ 35.9, intensity 13.4, hkl 0 1 2
2θ 37.6, intensity 100.0, hkl 1 0 4
2θ 38.5, intensity 26.9, hkl 0 0 12
2θ 44.0, intensity 61.1, hkl 0 1 8
2θ 63.3, intensity 22.4, hkl 1 1 0
2θ 64.5, intensity 15.8, hkl 1 0 16
2θ 76.0, intensity 12.9, hkl 0 2 4
2θ 76.6, intensity 21.9, hkl 1 1 12
2θ 80.3, intensity 10.7, hkl 2 0 8

---

No. 4
The following is a theoretical X-ray diffraction stick pattern of BeGeH. It was derived from a crystal structure in Alexandria, relaxed with PBE, using copper Kα.

abc: 5.782 6.284 4.048
angles: 90.00 90.17 90.00
Space group P2_1/c (No. 14)
Asymmetric unit:
Be  0.069  0.146  0.405
Ge  0.340  0.635  0.993
H  0.137  0.160  0.066

Top 10 peaks for 15 to 90 degrees two-theta, sorted by position:
2θ 15.3, intensity 53.6, hkl 1 0 0
2θ 20.9, intensity 100.0, hkl 1 1 0
2θ 26.2, intensity 82.0, hkl 0 1 1
2θ 30.5, intensity 24.3, hkl 1 1 -1
2θ 34.1, intensity 46.7, hkl 2 1 0
2θ 39.5, intensity 76.4, hkl 1 2 1
2θ 44.8, intensity 21.0, hkl 0 0 2
2θ 48.3, intensity 54.6, hkl 2 2 -1
2θ 49.0, intensity 22.6, hkl 0 3 1
2θ 49.9, intensity 21.7, hkl 1 1 2

---

No. 5
The following is a theoretical X-ray diffraction stick pattern of Pd3PtAu4. It was derived from a crystal structure in Alexandria, relaxed with PBE, using copper Kα.

abc: 5.632 7.466 7.672
angles: 73.67 68.75 78.84
Space group P-1 (No. 2)
Asymmetric unit:
Pd  0.054  0.293  0.001
Pd  0.316  0.907  0.669
Pd  0.349  0.427  0.336
Pt  0.476  0.234  0.678
Au  0.023  0.768  0.316
Au  0.155  0.574  0.668
Au  0.192  0.092  0.324
Au  0.449  0.709  0.998

Top 10 peaks for 15 to 90 degrees two-theta, sorted by position:
2θ 25.0, intensity 22.7, hkl 0 2 0
2θ 37.0, intensity 38.5, hkl 2 2 1
2θ 37.2, intensity 24.8, hkl 2 -1 1
2θ 38.8, intensity 77.1, hkl 0 0 3
2θ 40.7, intensity 100.0, hkl 0 3 2
2θ 41.0, intensity 41.9, hkl 2 -1 2
2θ 42.9, intensity 84.0, hkl 2 2 3
2θ 43.0, intensity 48.7, hkl 0 3 -1
2θ 66.5, intensity 32.1, hkl 4 1 2
2θ 79.5, intensity 28.3, hkl -2 4 3

---

No. 6
The following is a theoretical X-ray diffraction stick pattern of CaGa2HgAu5. It was derived from a crystal structure in Alexandria, relaxed with PBE, using copper Kα.

abc: 4.911 4.911 7.833
angles: 90.00 90.00 90.00
Space group P4/mmm (No. 123)
Asymmetric unit:
Ca  0.000  0.000  0.000
Ga  0.500  0.500  0.342
Hg  0.000  0.000  0.500
Au  0.000  0.500  0.229
Au  0.500  0.500  0.000

Top 10 peaks for 15 to 90 degrees two-theta, sorted by position:
2θ 21.4, intensity 18.2, hkl 1 0 1
2θ 34.5, intensity 100.0, hkl 1 1 2
2θ 36.6, intensity 61.9, hkl 2 0 0
2θ 39.1, intensity 13.7, hkl 1 0 3
2θ 43.4, intensity 9.6, hkl 1 1 3
2θ 52.7, intensity 21.9, hkl 2 2 0
2θ 54.6, intensity 10.5, hkl 2 1 3
2θ 60.5, intensity 16.2, hkl 2 0 4
2θ 64.5, intensity 33.4, hkl 3 1 2
2θ 89.2, intensity 10.6, hkl 4 2 0

---

No. 7
The following is a theoretical X-ray diffraction stick pattern of CsCuAg2Se2. It was derived from a crystal structure in Alexandria, relaxed with PBE, using copper Kα.

abc: 7.370 10.247 4.656
angles: 90.00 90.00 90.00
Space group Pnnm (No. 58)
Asymmetric unit:
Cs  0.000  0.000  0.000
Cu  0.000  0.500  0.000
Ag  0.024  0.342  0.500
Se  0.190  0.323  0.000

Top 10 peaks for 15 to 90 degrees two-theta, sorted by position:
2θ 21.1, intensity 36.7, hkl 1 2 0
2θ 24.2, intensity 79.9, hkl 2 0 0
2θ 28.6, intensity 100.0, hkl 1 2 1
2θ 28.8, intensity 87.5, hkl 1 3 0
2θ 32.2, intensity 60.1, hkl 2 1 1
2θ 38.7, intensity 58.5, hkl 0 0 2
2θ 40.9, intensity 41.5, hkl 2 3 1
2θ 42.1, intensity 60.2, hkl 1 4 1
2θ 45.3, intensity 58.6, hkl 3 2 1
2θ 48.9, intensity 39.0, hkl 1 3 2

---

No. 8
The following is a theoretical X-ray diffraction stick pattern of KH3O. It was derived from a crystal structure in Alexandria, relaxed with PBE, using copper Kα.

abc: 3.6081 3.6081 13.6532
angles: 90.00 90.00 120.00
Space group R3m (No. 160, hexagonal axes)
Asymmetric unit:
K  0.0000  0.0000  0.0000
H  0.1060  0.2121  0.8312
O  0.0000  0.0000  0.1947

Top 10 peaks for 15 to 90 degrees two-theta, sorted by position:
2θ 19.5, intensity 17.8, hkl 0 0 3
2θ 29.3, intensity 100.0, hkl 1 0 1
2θ 31.5, intensity 23.9, hkl 0 1 2
2θ 39.1, intensity 33.3, hkl 1 0 4
2θ 39.6, intensity 16.0, hkl 0 0 6
2θ 44.0, intensity 38.5, hkl 0 1 5
2θ 50.6, intensity 22.9, hkl 1 1 0
2θ 54.7, intensity 9.0, hkl 1 1 3
2θ 59.6, intensity 9.0, hkl 0 2 1
2θ 66.1, intensity 14.3, hkl 1 1 6

---

Repeat the fifth record exactly.
The following is a theoretical X-ray diffraction stick pattern of Pd3PtAu4. It was derived from a crystal structure in Alexandria, relaxed with PBE, using copper Kα.

abc: 5.632 7.466 7.672
angles: 73.67 68.75 78.84
Space group P-1 (No. 2)
Asymmetric unit:
Pd  0.054  0.293  0.001
Pd  0.316  0.907  0.669
Pd  0.349  0.427  0.336
Pt  0.476  0.234  0.678
Au  0.023  0.768  0.316
Au  0.155  0.574  0.668
Au  0.192  0.092  0.324
Au  0.449  0.709  0.998

Top 10 peaks for 15 to 90 degrees two-theta, sorted by position:
2θ 25.0, intensity 22.7, hkl 0 2 0
2θ 37.0, intensity 38.5, hkl 2 2 1
2θ 37.2, intensity 24.8, hkl 2 -1 1
2θ 38.8, intensity 77.1, hkl 0 0 3
2θ 40.7, intensity 100.0, hkl 0 3 2
2θ 41.0, intensity 41.9, hkl 2 -1 2
2θ 42.9, intensity 84.0, hkl 2 2 3
2θ 43.0, intensity 48.7, hkl 0 3 -1
2θ 66.5, intensity 32.1, hkl 4 1 2
2θ 79.5, intensity 28.3, hkl -2 4 3